This entry pairs a crystal structure of TbCo3B2 with its calculated XRD peak list. Radiation: Cu Kα. Structure: a crystal structure in the Materials Project, relaxed with GGA-PBE.

Peak list (8 most intense, 10° ≤ 2θ ≤ 80°, by intensity)
36.2 deg, intensity 100, hkl 1 0 1; 41.6 deg, intensity 85, hkl 2 0 0; 47.1 deg, intensity 57, hkl 1 1 1; 64.7 deg, intensity 36, hkl 2 1 1; 20.5 deg, intensity 33, hkl 1 0 0; 76.8 deg, intensity 26, hkl 2 0 2; 72.4 deg, intensity 15, hkl 3 0 1; 76.0 deg, intensity 15, hkl 2 2 0

a b c (Å): 5.0093 5.0093 3.0250
angles (deg): 90.00 90.00 120.00
Space group P6/mmm (No. 191)
Inequivalent atoms, fractional coordinates:
Tb (0.0000, 0.0000, 0.0000) [1 per cell]
Co (0.0000, 0.5000, 0.5000) [3 per cell]
B (0.3333, 0.6667, 0.0000) [2 per cell]